[1]
Structure and calculated PXRD pattern of SrCaZnSi2O7 (the GGA-PBE geometry in the Materials Project; Cu Ka).

Cell lengths 5.1333, 8.0137, 8.0059 Å; angles 90.00, 90.89, 90.00 degrees
Space group P2_1 (No. 4)
Symmetry-distinct sites (fractional):
Sr1 0.0078 0.0000 0.0855
Ca1 0.0030 0.6635 0.4200
Zn1 0.5003 0.3369 0.2520
Si1 0.4397 0.4761 0.6046
Si2 0.4444 0.1967 0.8838
O1 0.2420 0.6970 0.1160
O2 0.2460 0.9792 0.3972
O3 0.2808 0.4198 0.4333
O4 0.2900 0.0258 0.8252
O5 0.2903 0.6487 0.6621
O6 0.3009 0.2563 0.0565
O7 0.3292 0.3343 0.7417

Principal peaks in the range 10° ≤ 2θ ≤ 90°, in order of rising 2θ:
(1 1 -1), 2θ = 23.3°, I 28.0
(1 1 1), 2θ = 23.5°, I 40.7
(1 0 -2), 2θ = 28.1°, I 28.0
(1 2 0), 2θ = 28.3°, I 56.9
(1 0 2), 2θ = 28.5°, I 22.9
(1 1 -2), 2θ = 30.3°, I 100.0
(1 2 1), 2θ = 30.5°, I 47.1
(1 1 2), 2θ = 30.6°, I 47.4
(0 1 3), 2θ = 35.4°, I 68.6
(2 1 3), 2θ = 51.0°, I 40.3



[2]
Structure and calculated PXRD pattern of CaTiSiO5 (the GGA-PBE geometry in the Materials Project; Cu Ka).

Cell lengths 6.6646, 8.7727, 7.1424 Å; angles 90.00, 114.13, 90.00 degrees
Space group P2_1/c (No. 14)
Symmetry-distinct sites (fractional):
Ca1 0.2504 0.0785 0.2464
Ti1 0.2502 0.7479 0.9929
Si1 0.2496 0.0696 0.7490
O1 0.0635 0.1868 0.5917
O2 0.1508 0.5367 0.3835
O3 0.2498 0.6808 0.7501
O4 0.3490 0.5364 0.1151
O5 0.4358 0.1865 0.9068

Principal peaks in the range 10° ≤ 2θ ≤ 90°, in order of rising 2θ:
(1 1 0), 2θ = 17.7°, I 21.8
(1 1 -2), 2θ = 27.2°, I 100.0
(2 0 0), 2θ = 29.4°, I 73.6
(1 3 0), 2θ = 34.0°, I 63.8
(0 2 2), 2θ = 34.3°, I 44.9
(3 1 -2), 2θ = 43.1°, I 16.8
(2 2 2), 2θ = 53.1°, I 20.1
(3 3 0), 2θ = 55.1°, I 26.8
(1 5 -2), 2θ = 58.7°, I 16.2
(1 3 -4), 2θ = 61.4°, I 20.3



[3]
Structure and calculated PXRD pattern of Ca2TiSiO6 (the GGA-PBE geometry in the Materials Project; Cu Ka).

Cell lengths 7.4878, 7.4878, 7.4878 Å; angles 90.00, 90.00, 90.00 degrees
Space group Fm-3m (No. 225)
Symmetry-distinct sites (fractional):
Ca1 0.2500 0.2500 0.2500
Ti1 0.0000 0.0000 0.0000
Si1 0.0000 0.0000 0.5000
O1 0.0000 0.0000 0.2605

Principal peaks in the range 10° ≤ 2θ ≤ 90°, in order of rising 2θ:
(2 0 0), 2θ = 23.8°, I 6.1
(2 2 0), 2θ = 33.9°, I 100.0
(3 1 1), 2θ = 39.9°, I 3.3
(2 2 2), 2θ = 41.8°, I 23.5
(4 0 0), 2θ = 48.6°, I 64.0
(3 3 1), 2θ = 53.3°, I 2.3
(4 2 2), 2θ = 60.6°, I 34.4
(4 4 0), 2θ = 71.2°, I 33.2
(6 2 0), 2θ = 81.3°, I 15.1
(6 2 2), 2θ = 86.1°, I 4.0



[4]
Structure and calculated PXRD pattern of CaTiSiO5 (the GGA-PBE geometry in the Materials Project; Cu Ka).

Cell lengths 6.6637, 8.7737, 7.1305 Å; angles 90.00, 114.07, 90.00 degrees
Space group C2/c (No. 15)
Symmetry-distinct sites (fractional):
Ca1 0.0000 0.1717 0.2500
Ti1 0.0000 0.5000 0.0000
Si1 0.0000 0.1803 0.7500
O1 0.0000 0.4311 0.2500
O2 0.0991 0.2865 0.6156
O3 0.1860 0.0633 0.9078

Principal peaks in the range 10° ≤ 2θ ≤ 90°, in order of rising 2θ:
(1 1 0), 2θ = 17.7°, I 21.8
(1 1 -2), 2θ = 27.2°, I 100.0
(2 0 0), 2θ = 29.4°, I 73.9
(1 3 0), 2θ = 34.0°, I 64.1
(0 2 2), 2θ = 34.3°, I 45.2
(3 1 -2), 2θ = 43.1°, I 16.9
(2 2 2), 2θ = 53.1°, I 20.2
(3 3 0), 2θ = 55.1°, I 26.9
(1 5 -2), 2θ = 58.8°, I 16.4
(1 3 -4), 2θ = 61.4°, I 20.5



[5]
Structure and calculated PXRD pattern of Ca4ZrTi3Si4O20 (the GGA-PBE geometry in the Materials Project; Cu Ka).

Cell lengths 6.6935, 7.2098, 8.8589 Å; angles 89.97, 89.68, 66.18 degrees
Space group P-1 (No. 2)
Symmetry-distinct sites (fractional):
Ca1 0.0000 0.2451 0.3343
Ca2 0.4916 0.7549 0.1734
Zr1 0.0000 0.5000 0.0000
Ti1 0.0000 0.0000 0.0000
Ti2 0.5000 0.0000 0.5000
Ti3 0.5000 0.5000 0.5000
Si1 0.0009 0.2489 0.6778
Si2 0.4919 0.7535 0.8166
O1 0.0010 0.2374 0.0816
O2 0.1021 0.8760 0.2121
O3 0.1079 0.3776 0.7786
O4 0.1848 0.0889 0.5619
O5 0.1861 0.5942 0.4363
O6 0.3111 0.9136 0.9337
O7 0.3297 0.4050 0.0665
O8 0.3963 0.6200 0.7093
O9 0.4032 0.1166 0.2890
O10 0.4995 0.2499 0.5678

Principal peaks in the range 10° ≤ 2θ ≤ 90°, in order of rising 2θ:
(1 0 1), 2θ = 17.6°, I 32.5
(1 2 -1), 2θ = 27.0°, I 100.0
(2 0 0), 2θ = 29.2°, I 68.6
(1 0 3), 2θ = 33.6°, I 32.0
(1 0 -3), 2θ = 33.8°, I 30.9
(0 2 2), 2θ = 33.9°, I 48.1
(2 4 0), 2θ = 51.2°, I 13.1
(1 2 5), 2θ = 58.1°, I 14.8
(1 4 3), 2θ = 60.7°, I 19.4
(4 4 0), 2θ = 64.2°, I 17.2



[6]
Structure and calculated PXRD pattern of Ca2ZrTiSi2O10 (the GGA-PBE geometry in the Materials Project; Cu Ka).

Cell lengths 5.5541, 5.6223, 7.3117 Å; angles 104.10, 103.89, 105.79 degrees
Space group P-1 (No. 2)
Symmetry-distinct sites (fractional):
Ca1 0.1771 0.3406 0.2611
Zr1 0.5000 0.0000 0.0000
Ti1 0.5000 0.0000 0.5000
Si1 0.1711 0.3116 0.7452
O1 0.1247 0.7515 0.4141
O2 0.1710 0.1078 0.8744
O3 0.2361 0.6061 0.9004
O4 0.3868 0.3086 0.6231
O5 0.4222 0.0798 0.2633

Principal peaks in the range 10° ≤ 2θ ≤ 90°, in order of rising 2θ:
(0 1 0), 2θ = 17.4°, I 34.0
(1 0 0), 2θ = 17.6°, I 30.9
(0 1 -2), 2θ = 26.6°, I 75.7
(1 0 -2), 2θ = 26.7°, I 81.3
(1 1 0), 2θ = 28.9°, I 100.0
(1 -2 0), 2θ = 33.3°, I 44.8
(1 -1 2), 2θ = 33.5°, I 76.2
(2 -1 0), 2θ = 33.6°, I 47.2
(-2 1 4), 2θ = 59.9°, I 20.8
(2 2 -4), 2θ = 63.5°, I 26.0